Starting from a cell relaxed with PBE, the powder XRD pattern of ThZn2Cu6 was simulated for CuKα.
Peak positions follow from Bragg's law for the DFT cell and can differ from measured ones.

Crystal structure
```
data_ThZn2Cu6
_cell_length_a 7.7514
_cell_length_b 7.7514
_cell_length_c 7.7514
_cell_angle_alpha 60.00
_cell_angle_beta 60.00
_cell_angle_gamma 60.00
_symmetry_space_group_name_H-M 'P 1'
_symmetry_Int_Tables_number 1
loop_
_symmetry_equiv_pos_as_xyz
'x,y,z'
loop_
_atom_site_label
_atom_site_fract_x
_atom_site_fract_y
_atom_site_fract_z
Th1 0.1250 0.1250 0.1250
Th2 0.8750 0.8750 0.8750
Zn1 0.0000 0.5000 0.5000
Zn2 0.5000 0.0000 0.5000
Zn3 0.5000 0.5000 0.0000
Zn4 0.5000 0.5000 0.5000
Cu1 0.1259 0.1259 0.6241
Cu2 0.1259 0.6241 0.1259
Cu3 0.1259 0.6241 0.6241
Cu4 0.3759 0.3759 0.8741
Cu5 0.3759 0.8741 0.3759
Cu6 0.3759 0.8741 0.8741
Cu7 0.6241 0.1259 0.1259
Cu8 0.6241 0.1259 0.6241
Cu9 0.6241 0.6241 0.1259
Cu10 0.8741 0.3759 0.3759
Cu11 0.8741 0.3759 0.8741
Cu12 0.8741 0.8741 0.3759
```

Peak list (6 most intense, 5° ≤ 2θ ≤ 70°, low angle first)
two_theta  I (rel.)
26.98  78
32.68  56
42.87  30
46.88  100
65.39  20
68.47  15